# 1
Diffraction record for Sm4GaCBr2. The powder diffractogram is theoretical, not measured: it uses a cell relaxed with GGA-PBE and copper Kα.

Structural model:
Cell: 7.2187 3.8565 7.7292 Å, 90.00 106.84 90.00°
Space group P2/m (No. 10)
One atom of each set of equivalent atoms:
Sm  0.2034  0.0000  0.1842 [2 per cell]
Sm  0.2280  0.5000  0.7945 [2 per cell]
Ga  0.5000  0.0000  0.0000 [1 per cell]
C  0.0000  0.5000  0.0000 [1 per cell]
Br  0.0000  0.0000  0.5000 [1 per cell]
Br  0.5000  0.5000  0.5000 [1 per cell]

Largest 10 diffraction maxima, sorted by position, 2θ = 10–90°:
Position (°2θ)	I_rel	index
27.5	23	1 1 -1
29.8	49	2 0 -2
30.7	100	1 1 1
33.4	24	1 1 -2
36.4	18	0 0 3
42.3	27	1 1 -3
44.4	36	3 1 -1
47.1	18	0 2 0
53.0	16	4 0 0
56.8	16	2 2 -2


# 2
Diffraction record for GePH6CBr3. The powder diffractogram is theoretical, not measured: it uses a cell relaxed with GGA-PBE and copper Kα.

Structural model:
Cell: 6.1079 6.2107 6.2687 Å, 87.90 81.13 88.35°
Space group P1 (No. 1)
One atom of each set of equivalent atoms:
Ge  0.0000  0.0000  0.0000 [1 per cell]
P  0.4129  0.5364  0.4170 [1 per cell]
H  0.1919  0.5250  0.5180 [1 per cell]
H  0.4367  0.7233  0.2807 [1 per cell]
H  0.4595  0.3552  0.2854 [1 per cell]
H  0.5556  0.6815  0.7143 [1 per cell]
H  0.5799  0.3917  0.7150 [1 per cell]
H  0.7665  0.5519  0.5275 [1 per cell]
C  0.5965  0.5403  0.6139 [1 per cell]
Br  0.0164  0.5907  0.0475 [1 per cell]
Br  0.0873  0.0240  0.5950 [1 per cell]
Br  0.5783  0.0376  0.0218 [1 per cell]

Largest 10 diffraction maxima, sorted by position, 2θ = 10–90°:
Position (°2θ)	I_rel	index
14.3	75	0 0 1
14.7	30	1 0 0
18.9	23	1 0 1
23.3	37	1 1 1
26.3	26	-1 1 1
26.5	29	1 1 -1
28.8	100	0 2 0
29.6	40	2 0 0
32.7	21	0 1 -2
45.1	21	2 0 -2


# 3
Diffraction record for GePH6CBr3. The powder diffractogram is theoretical, not measured: it uses a cell relaxed with GGA-PBE and copper Kα.

Structural model:
Cell: 7.4259 8.1285 15.7642 Å, 90.72 90.66 92.07°
Space group P1 (No. 1)
One atom of each set of equivalent atoms:
Ge  0.0000  0.0000  0.0000 [1 per cell]
Ge  0.0003  0.4954  0.4553 [1 per cell]
Ge  0.4916  0.9929  0.9572 [1 per cell]
Ge  0.4959  0.4991  0.5017 [1 per cell]
P  0.1530  0.5009  0.1833 [1 per cell]
P  0.3502  0.9891  0.6833 [1 per cell]
P  0.7233  0.9539  0.3650 [1 per cell]
P  0.8124  0.4494  0.8635 [1 per cell]
H  0.0093  0.4226  0.1366 [1 per cell]
H  0.0460  0.0604  0.6537 [1 per cell]
H  0.1021  0.6601  0.2061 [1 per cell]
H  0.1081  0.8789  0.5964 [1 per cell]
H  0.1788  0.4115  0.2587 [1 per cell]
H  0.1853  0.0787  0.5618 [1 per cell]
H  0.3117  0.8970  0.7570 [1 per cell]
H  0.3307  0.5842  0.0644 [1 per cell]
H  0.3886  0.3854  0.1026 [1 per cell]
H  0.4125  0.1470  0.7096 [1 per cell]
H  0.4649  0.5685  0.1593 [1 per cell]
H  0.4899  0.9125  0.6390 [1 per cell]
H  0.5825  0.0918  0.2502 [1 per cell]
H  0.5826  0.8349  0.3738 [1 per cell]
H  0.6412  0.3708  0.8738 [1 per cell]
H  0.7022  0.0755  0.4291 [1 per cell]
H  0.7362  0.6435  0.7574 [1 per cell]
H  0.7399  0.9453  0.2132 [1 per cell]
H  0.7960  0.4499  0.7114 [1 per cell]
H  0.8195  0.1400  0.2571 [1 per cell]
H  0.8368  0.5682  0.9295 [1 per cell]
H  0.8889  0.8782  0.3796 [1 per cell]
H  0.9449  0.3314  0.8734 [1 per cell]
H  0.9681  0.5905  0.7528 [1 per cell]
C  0.1529  0.0032  0.6173 [1 per cell]
C  0.3544  0.5110  0.1213 [1 per cell]
C  0.7156  0.0411  0.2611 [1 per cell]
C  0.8296  0.5422  0.7611 [1 per cell]
Br  0.1820  0.2520  0.4000 [1 per cell]
Br  0.2086  0.7314  0.3970 [1 per cell]
Br  0.2165  0.0247  0.1269 [1 per cell]
Br  0.2717  0.7545  0.9034 [1 per cell]
Br  0.2851  0.5164  0.6274 [1 per cell]
Br  0.3104  0.2311  0.8956 [1 per cell]
Br  0.6872  0.2656  0.5617 [1 per cell]
Br  0.7065  0.9829  0.8284 [1 per cell]
Br  0.7135  0.7428  0.5514 [1 per cell]
Br  0.7822  0.4974  0.3255 [1 per cell]
Br  0.7895  0.2398  0.0484 [1 per cell]
Br  0.8015  0.7635  0.0601 [1 per cell]

Largest 10 diffraction maxima, sorted by position, 2θ = 10–90°:
Position (°2θ)	I_rel	index
11.2	100	0 0 2
12.2	75	0 1 -1
12.3	68	0 1 1
25.5	49	1 0 -4
25.7	47	1 0 4
27.1	50	1 -2 2
27.2	52	-1 2 2
27.7	47	1 2 -2
28.0	51	1 2 2
34.1	34	-2 2 2